The following is a computed PXRD pattern of SrLi2CoH6. It was derived from a crystal structure in Alexandria, relaxed with PBE, using Cu Kα X-rays.
Neutral-atom scattering factors, no anomalous dispersion.

Cell and atoms:
abc: 4.5940 4.5940 6.1676
angles: 90.00 90.00 120.00
Fractional coordinates of all 10 atoms:
Sr 0.0000 0.0000 0.0000
Li 0.3333 0.6667 0.4342
Li 0.6667 0.3333 0.5658
Co 0.0000 0.0000 0.5000
H 0.1562 0.3125 0.6494
H 0.1562 0.8438 0.6494
H 0.3125 0.1562 0.3506
H 0.6875 0.8438 0.6494
H 0.8438 0.1562 0.3506
H 0.8438 0.6875 0.3506

Principal peaks in the range 10 to 80 degrees two-theta, low angle first:
2theta  Rel. int.  index
22.3  100  1 0 0
29.0  19  0 0 2
36.9  53  1 0 2
39.2  26  1 1 0
45.6  13  2 0 0
49.5  26  1 1 2
54.9  16  0 2 2
69.6  16  2 1 2